Structure and theoretical XRD peak list of La2MgTaNi (the PBE geometry in Alexandria; λ = 1.5418 Å (Cu Kα)).

Most intense lines, 2θ from 10° to 90°, sorted by position:
2θ 15.80, intensity 62; 2θ 29.63, intensity 100; 2θ 31.90, intensity 72; 2θ 35.79, intensity 17; 2θ 38.83, intensity 21; 2θ 45.74, intensity 26; 2θ 51.10, intensity 38; 2θ 55.45, intensity 35; 2θ 61.51, intensity 22; 2θ 88.63, intensity 16

```
data_La2MgTaNi
_chemical_formula_sum 'La2 Mg1 Ta1 Ni1'
_space_group_name_H-M_alt 'P 1'
_space_group_IT_number 1
_space_group_name_Hall 'P 1'
_cell_length_a 5.6107
_cell_length_b 5.6107
_cell_length_c 4.6384
_cell_angle_alpha 90.00
_cell_angle_beta 90.00
_cell_angle_gamma 90.00
loop_
_atom_site_label
_atom_site_type_symbol
_atom_site_fract_x
_atom_site_fract_y
_atom_site_fract_z
La1 La 0.0000 0.5000 0.0000
La2 La 0.5000 0.0000 0.0000
Mg1 Mg 0.0000 0.0000 0.5000
Ta1 Ta 0.5000 0.5000 0.5000
Ni1 Ni 0.5000 0.5000 0.0000
```

***

Structure and theoretical XRD peak list of LaMg3O4 (the PBE geometry in Alexandria; λ = 1.5418 Å (Cu Kα)).

Most intense lines, 2θ from 10° to 90°, sorted by position:
2θ 18.67, intensity 93; 2θ 26.53, intensity 80; 2θ 32.64, intensity 55; 2θ 37.87, intensity 100; 2θ 42.54, intensity 46; 2θ 46.83, intensity 35; 2θ 54.63, intensity 64; 2θ 58.25, intensity 23; 2θ 65.11, intensity 27; 2θ 68.39, intensity 20

```
data_LaMg3O4
_chemical_formula_sum 'La1 Mg3 O4'
_space_group_name_H-M_alt 'P 1'
_space_group_IT_number 1
_space_group_name_Hall 'P 1'
_cell_length_a 4.7519
_cell_length_b 4.7519
_cell_length_c 4.7519
_cell_angle_alpha 90.00
_cell_angle_beta 90.00
_cell_angle_gamma 90.00
loop_
_atom_site_label
_atom_site_type_symbol
_atom_site_fract_x
_atom_site_fract_y
_atom_site_fract_z
La1 La 0.0000 0.0000 0.0000
Mg1 Mg 0.0000 0.5000 0.5000
Mg2 Mg 0.5000 0.0000 0.5000
Mg3 Mg 0.5000 0.5000 0.0000
O1 O 0.0000 0.0000 0.5000
O2 O 0.0000 0.5000 0.0000
O3 O 0.5000 0.0000 0.0000
O4 O 0.5000 0.5000 0.5000
```

***

Structure and theoretical XRD peak list of La2MgO4 (the PBE geometry in Alexandria; λ = 1.5418 Å (Cu Kα)).

Most intense lines, 2θ from 10° to 90°, sorted by position:
2θ 23.48, intensity 72; 2θ 28.67, intensity 26; 2θ 31.14, intensity 100; 2θ 31.42, intensity 37; 2θ 32.23, intensity 39; 2θ 43.05, intensity 27; 2θ 43.65, intensity 35; 2θ 45.63, intensity 39; 2θ 54.77, intensity 21; 2θ 55.76, intensity 22

```
data_La2MgO4
_chemical_formula_sum 'La4 Mg2 O8'
_space_group_name_H-M_alt 'P 1'
_space_group_IT_number 1
_space_group_name_Hall 'P 1'
_cell_length_a 6.8193
_cell_length_b 6.8193
_cell_length_c 5.6942
_cell_angle_alpha 90.00
_cell_angle_beta 90.00
_cell_angle_gamma 131.92
loop_
_atom_site_label
_atom_site_type_symbol
_atom_site_fract_x
_atom_site_fract_y
_atom_site_fract_z
La1 La 0.1381 0.8619 0.9870
La2 La 0.3619 0.6381 0.4870
La3 La 0.6381 0.3619 0.5130
La4 La 0.8619 0.1381 0.0130
Mg1 Mg 0.0000 0.0000 0.5000
Mg2 Mg 0.5000 0.5000 0.0000
O1 O 0.1790 0.8210 0.5684
O2 O 0.2322 0.2678 0.7500
O3 O 0.2678 0.2322 0.2500
O4 O 0.3210 0.6790 0.0684
O5 O 0.6790 0.3210 0.9316
O6 O 0.7322 0.7678 0.7500
O7 O 0.7678 0.7322 0.2500
O8 O 0.8210 0.1790 0.4316
```

***

Structure and theoretical XRD peak list of LaMgP2O8 (the PBE geometry in Alexandria; λ = 1.5418 Å (Cu Kα)).

Most intense lines, 2θ from 10° to 90°, sorted by position:
2θ 12.76, intensity 67; 2θ 19.83, intensity 84; 2θ 23.65, intensity 100; 2θ 32.65, intensity 79; 2θ 34.71, intensity 63; 2θ 37.12, intensity 54; 2θ 43.67, intensity 34; 2θ 44.07, intensity 23; 2θ 48.39, intensity 47; 2θ 60.92, intensity 26

```
data_LaMgP2O8
_chemical_formula_sum 'La1 Mg1 P2 O8'
_space_group_name_H-M_alt 'P 1'
_space_group_IT_number 1
_space_group_name_Hall 'P 1'
_cell_length_a 5.1693
_cell_length_b 5.1693
_cell_length_c 6.9387
_cell_angle_alpha 90.00
_cell_angle_beta 90.00
_cell_angle_gamma 120.00
loop_
_atom_site_label
_atom_site_type_symbol
_atom_site_fract_x
_atom_site_fract_y
_atom_site_fract_z
La1 La 0.0000 0.0000 0.0000
Mg1 Mg 0.0000 0.0000 0.5000
P1 P 0.3333 0.6667 0.7698
P2 P 0.6667 0.3333 0.2302
O1 O 0.1700 0.3399 0.6996
O2 O 0.1700 0.8300 0.6996
O3 O 0.3333 0.6667 0.9933
O4 O 0.3399 0.1700 0.3004
O5 O 0.6601 0.8300 0.6996
O6 O 0.6667 0.3333 0.0067
O7 O 0.8300 0.1700 0.3004
O8 O 0.8300 0.6601 0.3004
```